Starting from a PBE-relaxed structure, the X-ray diffraction stick pattern of Cd2PdO4 was simulated for λ = 1.5418 Å (Cu Kα).

Largest 10 diffraction maxima, sorted by position, 10 to 80 degrees two-theta:
2θ = 29.7°, I 60
2θ = 30.9°, I 47
2θ = 31.6°, I 100
2θ = 34.4°, I 44
2θ = 39.7°, I 63
2θ = 47.8°, I 34
2θ = 51.1°, I 19
2θ = 54.2°, I 28
2θ = 55.4°, I 25
2θ = 64.9°, I 18

```
Cd2PdO4
1.0
5.219 -1.624 0.000
5.219 1.624 0.000
-2.386 0.000 5.364
Cd Pd O
2 1 4
Cartesian
1.402 0.000 0.835 Cd
6.650 0.000 4.530 Cd
4.026 0.000 2.682 Pd
0.107 0.000 2.605 O
3.702 0.000 0.684 O
4.350 0.000 4.680 O
7.945 0.000 2.760 O
```